# 1
The following is a simulated powder diffractogram of Na2Zn2Cl5. It was derived from a PBE-relaxed structure, using Cu Kα, 1.54184 Å.
Intensities are scaled so that the largest is 100.

Most intense lines, 2θ = 10–80°, low angle first:
hkl	two_theta	Rel. int.
0 0 1	13.65	60
2 0 -1	14.74	57
1 1 0	19.15	58
2 0 -2	24.18	70
2 0 1	24.88	60
1 1 1	25.65	50
4 0 0	30.51	94
0 2 0	35.59	100
6 0 -2	40.93	83
4 2 0	47.57	45

Atomic structure:
Lattice parameters (Å, degrees): 13.350 5.045 7.389 90.00 118.61 90.00
Space group C2/m (No. 12)
One atom of each set of equivalent atoms:
1 Na 0.112 0.000 0.296
2 Zn 0.134 0.500 0.846
3 Cl 0.000 0.500 0.000
4 Cl 0.137 0.000 0.886
5 Cl 0.152 0.500 0.540

***

# 2
The following is a simulated powder diffractogram of LaBePt3. It was derived from a PBE-relaxed structure, using Cu Kα, 1.54184 Å.
Intensities are scaled so that the largest is 100.

Most intense lines, 2θ = 10–80°, low angle first:
hkl	two_theta	Rel. int.
0 1 1	19.88	61
-1 1 1	31.08	51
1 1 2	31.36	48
0 2 -1	35.11	46
1 1 -2	37.13	100
1 2 1	37.99	21
0 1 3	38.65	24
0 2 2	40.42	26
2 0 1	40.68	51
1 -1 3	41.59	44

Atomic structure:
Lattice parameters (Å, degrees): 4.471 5.461 7.845 88.46 78.81 85.13
Space group P1 (No. 1)
One atom of each set of equivalent atoms:
1 La 0.000 0.000 0.000
2 La 0.295 0.718 0.444
3 Be 0.354 0.193 0.613
4 Be 0.632 0.414 0.749
5 Pt 0.105 0.493 0.804
6 Pt 0.459 0.222 0.301
7 Pt 0.520 0.573 0.024
8 Pt 0.613 0.864 0.733
9 Pt 0.883 0.213 0.511
10 Pt 0.969 0.470 0.198

***

# 3
The following is a simulated powder diffractogram of SrTm2SnN4. It was derived from a PBE-relaxed structure, using Cu Kα, 1.54184 Å.
Intensities are scaled so that the largest is 100.

Most intense lines, 2θ = 10–80°, low angle first:
hkl	two_theta	Rel. int.
0 2 1	16.47	19
0 0 4	29.38	52
0 4 0	29.77	50
1 1 2	30.69	100
1 3 2	37.45	93
0 2 5	40.00	22
0 4 4	42.31	32
2 0 0	53.05	17
2 0 4	61.81	18
1 7 2	62.35	18

Atomic structure:
Lattice parameters (Å, degrees): 3.453 12.005 12.162 90.00 90.00 90.00
Space group Cmcm (No. 63)
One atom of each set of equivalent atoms:
1 Sr 0.000 0.108 0.250
2 Tm 0.000 0.371 0.031
3 Sn 0.000 0.157 0.750
4 N 0.000 0.000 0.000
5 N 0.000 0.256 0.613
6 N 0.000 0.443 0.250